# 1
Theoretical XRD peak list of As5Ir for a wavelength of 1.5418 Å, from a DFT-relaxed cell (GGA-PBE, Alexandria).
Kinematic intensities with the Lorentz-polarization factor, no thermal factor.

Largest 10 diffraction maxima, low angle first, 2θ from 10° to 80°:
- 13.84 deg, 6.398 Å, I = 84, (0 0 1)
- 15.15 deg, 5.849 Å, I = 100, (2 0 0)
- 17.15 deg, 5.170 Å, I = 29, (2 0 -1)
- 34.13 deg, 2.627 Å, I = 95, (3 1 0)
- 34.70 deg, 2.585 Å, I = 19, (4 0 -2)
- 35.85 deg, 2.505 Å, I = 21, (2 0 2)
- 36.83 deg, 2.440 Å, I = 54, (1 1 -2)
- 39.68 deg, 2.272 Å, I = 27, (3 1 1)
- 46.47 deg, 1.954 Å, I = 34, (5 1 0)
- 48.33 deg, 1.883 Å, I = 25, (1 1 -3)

Atomic structure:
a b c (Å): 12.2796 3.5544 6.7156
angles (deg): 90.00 107.69 90.00
Space group Cm (No. 8)
One atom of each set of equivalent atoms:
As: 0.0000 0.0000 0.0000 [2 per cell]
As: 0.0301 0.0000 0.6367 [2 per cell]
As: 0.1394 0.5000 0.3032 [2 per cell]
As: 0.2421 0.0000 0.7516 [2 per cell]
As: 0.2767 0.0000 0.1533 [2 per cell]
Ir: 0.1383 0.5000 0.9297 [2 per cell]

# 2
Theoretical XRD peak list of As4Ir for a wavelength of 1.5418 Å, from a DFT-relaxed cell (GGA-PBE, Alexandria).
Kinematic intensities with the Lorentz-polarization factor, no thermal factor.

Largest 10 diffraction maxima, low angle first, 2θ from 10° to 80°:
- 15.36 deg, 5.770 Å, I = 28, (1 1 0)
- 18.90 deg, 4.696 Å, I = 33, (1 1 -1)
- 22.04 deg, 4.033 Å, I = 25, (2 0 0)
- 24.29 deg, 3.665 Å, I = 52, (1 1 1)
- 26.52 deg, 3.360 Å, I = 25, (0 2 1)
- 31.10 deg, 2.876 Å, I = 100, (2 2 -1)
- 38.03 deg, 2.366 Å, I = 52, (1 1 2)
- 43.05 deg, 2.101 Å, I = 26, (3 1 1)
- 44.16 deg, 2.051 Å, I = 54, (1 3 -2)
- 49.61 deg, 1.837 Å, I = 30, (2 4 0)

Atomic structure:
a b c (Å): 8.5766 8.2555 6.1528
angles (deg): 90.00 109.86 90.00
Space group C2/c (No. 15)
One atom of each set of equivalent atoms:
As: 0.0778 0.1318 0.0085 [8 per cell]
As: 0.1871 0.4769 0.6117 [8 per cell]
Ir: 0.0000 0.3544 0.2500 [4 per cell]

# 3
Theoretical XRD peak list of LaAs2IrRh2 for a wavelength of 1.5418 Å, from a DFT-relaxed cell (GGA-PBE, Alexandria).
Kinematic intensities with the Lorentz-polarization factor, no thermal factor.

Largest 10 diffraction maxima, low angle first, 2θ from 10° to 80°:
- 14.55 deg, 6.088 Å, I = 26, (0 2 0)
- 19.28 deg, 4.605 Å, I = 58, (1 1 0)
- 27.75 deg, 3.215 Å, I = 36, (1 0 1)
- 28.38 deg, 3.145 Å, I = 29, (1 3 0)
- 28.72 deg, 3.108 Å, I = 45, (1 1 1)
- 31.47 deg, 2.843 Å, I = 93, (1 2 1)
- 36.12 deg, 2.487 Å, I = 26, (2 0 0)
- 40.83 deg, 2.210 Å, I = 100, (1 4 1)
- 42.94 deg, 2.106 Å, I = 53, (0 0 2)
- 44.65 deg, 2.029 Å, I = 33, (0 6 0)

Atomic structure:
a b c (Å): 4.9740 12.1761 4.2125
angles (deg): 90.00 90.00 90.00
Space group Pnnm (No. 58)
One atom of each set of equivalent atoms:
La: 0.0000 0.0000 0.0000 [2 per cell]
As: 0.1397 0.3105 0.0000 [4 per cell]
Ir: 0.0000 0.5000 0.0000 [2 per cell]
Rh: 0.0817 0.6533 0.5000 [4 per cell]

# 4
Theoretical XRD peak list of Li2AsIrO6 for a wavelength of 1.5418 Å, from a DFT-relaxed cell (GGA-PBE, Alexandria).
Kinematic intensities with the Lorentz-polarization factor, no thermal factor.

Largest 10 diffraction maxima, low angle first, 2θ from 10° to 80°:
- 16.98 deg, 5.222 Å, I = 32, (1 0 0)
- 18.18 deg, 4.881 Å, I = 97, (0 0 1)
- 24.10 deg, 3.693 Å, I = 100, (1 1 0)
- 24.97 deg, 3.566 Å, I = 25, (1 0 1)
- 30.35 deg, 2.945 Å, I = 83, (1 1 1)
- 34.34 deg, 2.611 Å, I = 28, (2 0 0)
- 39.13 deg, 2.302 Å, I = 29, (2 0 1)
- 44.50 deg, 2.036 Å, I = 33, (1 1 2)
- 49.36 deg, 1.846 Å, I = 23, (2 2 0)
- 59.05 deg, 1.564 Å, I = 26, (3 1 1)

Atomic structure:
a b c (Å): 5.2222 5.2222 4.8808
angles (deg): 90.00 90.00 90.00
Space group P4mm (No. 99)
One atom of each set of equivalent atoms:
Li: 0.0000 0.5000 0.0000 [2 per cell]
As: 0.0000 0.0000 0.6807 [1 per cell]
Ir: 0.5000 0.5000 0.6859 [1 per cell]
O: 0.0000 0.0000 0.3375 [1 per cell]
O: 0.2503 0.2503 0.8200 [4 per cell]
O: 0.5000 0.5000 0.3238 [1 per cell]

# 5
Theoretical XRD peak list of Sr2LiAs2Ir for a wavelength of 1.5418 Å, from a DFT-relaxed cell (GGA-PBE, Alexandria).
Kinematic intensities with the Lorentz-polarization factor, no thermal factor.

Largest 10 diffraction maxima, low angle first, 2θ from 10° to 80°:
- 11.51 deg, 7.690 Å, I = 72, (0 2 0)
- 15.53 deg, 5.706 Å, I = 100, (1 1 0)
- 22.59 deg, 3.936 Å, I = 35, (1 3 0)
- 31.33 deg, 2.855 Å, I = 81, (1 4 1)
- 32.36 deg, 2.766 Å, I = 22, (0 2 2)
- 34.08 deg, 2.631 Å, I = 24, (1 1 2)
- 37.47 deg, 2.400 Å, I = 55, (2 4 0)
- 38.34 deg, 2.348 Å, I = 52, (0 4 2)
- 42.37 deg, 2.133 Å, I = 60, (2 0 2)
- 52.19 deg, 1.753 Å, I = 24, (1 8 1)

Atomic structure:
a b c (Å): 6.1446 15.3798 5.9298
angles (deg): 90.00 90.00 90.00
Space group Ibam (No. 72)
One atom of each set of equivalent atoms:
Sr: 0.2463 0.1614 0.0000 [8 per cell]
Li: 0.0000 0.5000 0.2500 [4 per cell]
As: 0.2388 0.0980 0.5000 [8 per cell]
Ir: 0.0000 0.0000 0.2500 [4 per cell]

# 6
Theoretical XRD peak list of LuAs2Ir for a wavelength of 1.5418 Å, from a DFT-relaxed cell (GGA-PBE, Alexandria).
Kinematic intensities with the Lorentz-polarization factor, no thermal factor.

Largest 10 diffraction maxima, low angle first, 2θ from 10° to 80°:
- 28.00 deg, 3.186 Å, I = 28, (0 1 2)
- 32.42 deg, 2.762 Å, I = 8, (0 0 6)
- 33.80 deg, 2.652 Å, I = 100, (1 0 4)
- 45.52 deg, 1.993 Å, I = 46, (1 1 0)
- 51.45 deg, 1.776 Å, I = 27, (0 1 8)
- 56.99 deg, 1.616 Å, I = 10, (1 1 6)
- 57.88 deg, 1.593 Å, I = 22, (0 2 4)
- 62.14 deg, 1.494 Å, I = 5, (1 0 10)
- 71.11 deg, 1.326 Å, I = 10, (2 0 8)
- 76.57 deg, 1.244 Å, I = 19, (2 1 4)

Atomic structure:
a b c (Å): 3.9856 3.9856 16.5694
angles (deg): 90.00 90.00 120.00
Space group R-3m (No. 166, hexagonal axes)
One atom of each set of equivalent atoms:
Lu: 0.0000 0.0000 0.0000 [3 per cell]
As: 0.0000 0.0000 0.2341 [6 per cell]
Ir: 0.0000 0.0000 0.5000 [3 per cell]

# 7
Theoretical XRD peak list of MnAsIr for a wavelength of 1.5418 Å, from a DFT-relaxed cell (GGA-PBE, Alexandria).
Kinematic intensities with the Lorentz-polarization factor, no thermal factor.

Largest 10 diffraction maxima, low angle first, 2θ from 10° to 80°:
- 18.61 deg, 4.768 Å, I = 49, (0 1 1)
- 30.35 deg, 2.945 Å, I = 36, (1 1 1)
- 30.82 deg, 2.901 Å, I = 35, (0 0 2)
- 32.07 deg, 2.791 Å, I = 68, (1 2 0)
- 43.25 deg, 2.092 Å, I = 24, (0 4 0)
- 43.35 deg, 2.087 Å, I = 46, (1 3 1)
- 45.08 deg, 2.011 Å, I = 100, (1 2 2)
- 48.30 deg, 1.884 Å, I = 18, (0 1 3)
- 48.62 deg, 1.873 Å, I = 26, (2 0 0)
- 67.08 deg, 1.395 Å, I = 13, (2 4 0)

Atomic structure:
a b c (Å): 3.7456 8.3680 5.8022
angles (deg): 90.00 90.00 90.00
Space group Ama2 (No. 40)
One atom of each set of equivalent atoms:
Mn: 0.2500 0.0900 0.0000 [4 per cell]
As: 0.2500 0.3336 0.2396 [4 per cell]
Ir: 0.2500 0.3822 0.8118 [4 per cell]